Calculated powder diffractogram
Compound: KTi3NbO9
Radiation: Cu Kα (weighted mean of Kα1 and Kα2)
Structure: DFT lattice parameters and positions (PBE)
Lines closer than 0.1° are merged.

Crystal structure
a = 3.8190 Å, b = 6.4605 Å, c = 15.0747 Å
α = 90.00°, β = 90.00°, γ = 90.00°
Atoms (fractional coordinates):
1 K 0.0000 0.2231 0.0000
2 K 0.5000 0.7769 0.5000
3 Ti 0.0000 0.2365 0.3730
4 Ti 0.0000 0.6870 0.2987
5 Ti 0.0000 0.6899 0.7131
6 Ti 0.5000 0.3101 0.2131
7 Ti 0.5000 0.3130 0.7987
8 Ti 0.5000 0.7635 0.8730
9 Nb 0.0000 0.2380 0.6198
10 Nb 0.5000 0.7620 0.1198
11 O 0.0000 0.1646 0.4986
12 O 0.0000 0.3473 0.2416
13 O 0.0000 0.3486 0.7625
14 O 0.0000 0.5305 0.3996
15 O 0.0000 0.5375 0.6042
16 O 0.0000 0.7599 0.8455
17 O 0.0000 0.7633 0.1548
18 O 0.0000 0.9362 0.6601
19 O 0.0000 0.9390 0.3452
20 O 0.5000 0.0610 0.8452
21 O 0.5000 0.0638 0.1601
22 O 0.5000 0.2367 0.6548
23 O 0.5000 0.2401 0.3455
24 O 0.5000 0.4625 0.1042
25 O 0.5000 0.4695 0.8996
26 O 0.5000 0.6514 0.2625
27 O 0.5000 0.6527 0.7416
28 O 0.5000 0.8354 0.9986

The 12 most intense peaks (10 to 80 degrees two-theta), in order of rising 2θ:
11.7°, d 7.537, rel. 78, (0 0 2)
14.9°, d 5.938, rel. 56, (0 1 1)
22.4°, d 3.966, rel. 38, (0 1 3)
24.0°, d 3.702, rel. 79, (1 0 1)
27.6°, d 3.230, rel. 93, (0 2 0)
29.4°, d 3.041, rel. 100, (1 0 3)
29.6°, d 3.013, rel. 91, (1 1 2)
32.8°, d 2.732, rel. 95, (0 1 5)
40.8°, d 2.214, rel. 27, (1 2 3)
47.6°, d 1.909, rel. 59, (2 0 0)
56.3°, d 1.635, rel. 49, (1 1 8)
59.0°, d 1.565, rel. 32, (2 1 5)

---

Calculated powder diffractogram
Compound: KTiNbO5
Radiation: Cu Kα (weighted mean of Kα1 and Kα2)
Structure: DFT lattice parameters and positions (PBE)
Lines closer than 0.1° are merged.

Crystal structure
a = 6.5435 Å, b = 3.8220 Å, c = 18.7384 Å
α = 90.00°, β = 90.00°, γ = 90.00°
Atoms (fractional coordinates):
1 K 0.2123 0.2500 0.1937
2 K 0.2877 0.7500 0.6937
3 K 0.7123 0.2500 0.3063
4 K 0.7877 0.7500 0.8063
5 Ti 0.1828 0.2500 0.5347
6 Ti 0.3172 0.7500 0.0347
7 Ti 0.6828 0.2500 0.9653
8 Ti 0.8172 0.7500 0.4653
9 Nb 0.2290 0.2500 0.8897
10 Nb 0.2710 0.7500 0.3897
11 Nb 0.7290 0.2500 0.6103
12 Nb 0.7710 0.7500 0.1103
13 O 0.0334 0.2500 0.6199
14 O 0.0697 0.7500 0.0760
15 O 0.1460 0.7500 0.5103
16 O 0.1668 0.2500 0.7957
17 O 0.2336 0.7500 0.9217
18 O 0.2664 0.2500 0.4217
19 O 0.3332 0.7500 0.2957
20 O 0.3540 0.2500 0.0103
21 O 0.4303 0.2500 0.5760
22 O 0.4666 0.7500 0.1199
23 O 0.5334 0.2500 0.8801
24 O 0.5697 0.7500 0.4240
25 O 0.6460 0.7500 0.9897
26 O 0.6668 0.2500 0.7043
27 O 0.7336 0.7500 0.5783
28 O 0.7664 0.2500 0.0783
29 O 0.8332 0.7500 0.2043
30 O 0.8540 0.2500 0.4897
31 O 0.9303 0.2500 0.9240
32 O 0.9666 0.7500 0.3801

The 12 most intense peaks (10 to 80 degrees two-theta), in order of rising 2θ:
16.5°, d 5.365, rel. 39, (1 0 2)
18.9°, d 4.685, rel. 13, (0 0 4)
23.8°, d 3.745, rel. 17, (0 1 1)
27.3°, d 3.265, rel. 100, (2 0 0)
30.6°, d 2.918, rel. 62, (1 1 3)
31.7°, d 2.818, rel. 44, (1 0 6)
39.0°, d 2.309, rel. 13, (2 1 3)
40.9°, d 2.205, rel. 15, (1 0 8)
47.6°, d 1.911, rel. 23, (0 2 0)
51.9°, d 1.761, rel. 19, (1 1 9)
55.7°, d 1.650, rel. 11, (2 2 0)
58.3°, d 1.582, rel. 17, (1 2 6)

---

Calculated powder diffractogram
Compound: KNb2PS10
Radiation: Cu Kα (weighted mean of Kα1 and Kα2)
Structure: DFT lattice parameters and positions (PBE)
Lines closer than 0.1° are merged.

Crystal structure
a = 13.1253 Å, b = 7.8831 Å, c = 13.9450 Å
α = 90.00°, β = 90.00°, γ = 90.00°
Atoms (fractional coordinates):
1 K 0.1185 0.0023 0.0000
2 K 0.3815 0.0023 0.5000
3 K 0.6185 0.9977 0.0000
4 K 0.8815 0.9977 0.5000
5 Nb 0.0240 0.5513 0.2349
6 Nb 0.1865 0.5693 0.7357
7 Nb 0.3135 0.5693 0.2357
8 Nb 0.4760 0.5513 0.7349
9 Nb 0.5240 0.4487 0.2349
10 Nb 0.6865 0.4307 0.7357
11 Nb 0.8135 0.4307 0.2357
12 Nb 0.9760 0.4487 0.7349
13 P 0.1603 0.8895 0.3079
14 P 0.3397 0.8895 0.8079
15 P 0.6603 0.1105 0.3079
16 P 0.8397 0.1105 0.8079
17 S 0.0326 0.8797 0.2208
18 S 0.0519 0.6280 0.8658
19 S 0.0559 0.6441 0.6122
20 S 0.1016 0.3989 0.6036
21 S 0.1093 0.3866 0.8628
22 S 0.1508 0.0695 0.4072
23 S 0.1665 0.6400 0.3611
24 S 0.1689 0.5502 0.1106
25 S 0.1738 0.3466 0.2023
26 S 0.2073 0.8966 0.7286
27 S 0.2927 0.8966 0.2286
28 S 0.3262 0.3466 0.7023
29 S 0.3311 0.5502 0.6106
30 S 0.3335 0.6400 0.8611
31 S 0.3492 0.0695 0.9072
32 S 0.3907 0.3866 0.3628
33 S 0.3984 0.3989 0.1036
34 S 0.4441 0.6441 0.1122
35 S 0.4481 0.6280 0.3658
36 S 0.4674 0.8797 0.7208
37 S 0.5326 0.1203 0.2208
38 S 0.5519 0.3720 0.8658
39 S 0.5559 0.3559 0.6122
40 S 0.6016 0.6011 0.6036
41 S 0.6093 0.6134 0.8628
42 S 0.6508 0.9305 0.4072
43 S 0.6665 0.3600 0.3611
44 S 0.6689 0.4498 0.1106
45 S 0.6738 0.6534 0.2023
46 S 0.7073 0.1034 0.7286
47 S 0.7927 0.1034 0.2286
48 S 0.8262 0.6534 0.7023
49 S 0.8311 0.4498 0.6106
50 S 0.8335 0.3600 0.8611
51 S 0.8492 0.9305 0.9072
52 S 0.8907 0.6134 0.3628
53 S 0.8984 0.6011 0.1036
54 S 0.9441 0.3559 0.1122
55 S 0.9481 0.3720 0.3658
56 S 0.9674 0.1203 0.7208

The 12 most intense peaks (10 to 80 degrees two-theta), in order of rising 2θ:
11.2°, d 7.883, rel. 86, (0 1 0)
12.7°, d 6.973, rel. 100, (0 0 2)
13.1°, d 6.758, rel. 15, (1 1 0)
17.0°, d 5.223, rel. 59, (0 1 2)
18.7°, d 4.743, rel. 16, (2 1 1)
22.6°, d 3.942, rel. 23, (0 2 0)
30.3°, d 2.954, rel. 23, (3 1 3)
33.4°, d 2.681, rel. 28, (4 0 3)
35.4°, d 2.537, rel. 17, (4 1 3)
36.2°, d 2.478, rel. 26, (3 2 3)
44.7°, d 2.028, rel. 21, (3 3 3)
52.2°, d 1.752, rel. 14, (3 3 5)

---

Calculated powder diffractogram
Compound: KNb6S8
Radiation: Cu Kα (weighted mean of Kα1 and Kα2)
Structure: DFT lattice parameters and positions (PBE)
Lines closer than 0.1° are merged.

Crystal structure
a = 9.7135 Å, b = 9.7135 Å, c = 3.4272 Å
α = 90.00°, β = 90.00°, γ = 120.00°
Atoms (fractional coordinates):
1 K 0.0000 0.0000 0.0000
2 Nb 0.1120 0.6249 0.2494
3 Nb 0.3751 0.4871 0.2494
4 Nb 0.4871 0.1120 0.7506
5 Nb 0.5129 0.8880 0.2494
6 Nb 0.6249 0.5129 0.7506
7 Nb 0.8880 0.3751 0.7506
8 S 0.0563 0.3446 0.2518
9 S 0.2883 0.9437 0.2518
10 S 0.3333 0.6667 0.7498
11 S 0.3446 0.2883 0.7482
12 S 0.6554 0.7117 0.2518
13 S 0.6667 0.3333 0.2502
14 S 0.7117 0.0563 0.7482
15 S 0.9437 0.6554 0.7482

The 12 most intense peaks (10 to 80 degrees two-theta), in order of rising 2θ:
10.5°, d 8.412, rel. 66, (1 0 0)
21.1°, d 4.206, rel. 19, (2 0 0)
28.1°, d 3.177, rel. 47, (0 1 1)
33.7°, d 2.657, rel. 8, (0 2 1)
38.6°, d 2.332, rel. 100, (3 -1 1)
41.6°, d 2.170, rel. 11, (0 3 1)
45.8°, d 1.981, rel. 26, (2 2 1)
49.7°, d 1.836, rel. 18, (4 1 0)
54.6°, d 1.682, rel. 9, (5 -2 1)
64.6°, d 1.442, rel. 11, (2 4 1)
67.9°, d 1.381, rel. 9, (4 -1 2)
75.9°, d 1.253, rel. 12, (5 -4 2)